# 1
The following is a theoretical powder XRD pattern of LiNpBr. It was derived from a cell relaxed with GGA-PBE, using Cu Kα.
Lines closer than 0.1° are merged.

Largest 10 diffraction maxima, by intensity, 15° ≤ 2θ ≤ 90°:
15.1°, I = 100
36.4°, I = 80
22.7°, I = 69
47.5°, I = 45
38.8°, I = 45
56.6°, I = 24
51.1°, I = 18
42.6°, I = 17
53.6°, I = 16
38.4°, I = 16

Structure:
a b c (Å): 3.5743 3.5743 11.7341
angles (deg): 90.00 90.00 90.00
Positions (direct):
Li1 0.2500 0.2500 0.0960
Li2 0.7500 0.7500 0.9040
Np1 0.2500 0.7500 0.5000
Np2 0.7500 0.2500 0.5000
Br1 0.2500 0.2500 0.8681
Br2 0.7500 0.7500 0.1319


# 2
The following is a theoretical powder XRD pattern of LaErCuNi. It was derived from a cell relaxed with GGA-PBE, using Cu Kα.
Lines closer than 0.1° are merged.

Largest 10 diffraction maxima, by intensity, 15° ≤ 2θ ≤ 90°:
36.3°, I = 100
65.3°, I = 35
25.4°, I = 18
52.2°, I = 17
88.2°, I = 15
77.0°, I = 11
59.0°, I = 8
44.8°, I = 6
82.6°, I = 4
22.0°, I = 1

Structure:
a b c (Å): 4.9532 4.9532 4.9532
angles (deg): 60.00 60.00 60.00
Positions (direct):
La1 0.0000 0.0000 0.0000
Er1 0.5000 0.5000 0.5000
Cu1 0.7500 0.7500 0.7500
Ni1 0.2500 0.2500 0.2500


# 3
The following is a theoretical powder XRD pattern of AcGdHo2. It was derived from a cell relaxed with GGA-PBE, using Cu Kα.
Lines closer than 0.1° are merged.

Largest 10 diffraction maxima, by intensity, 15° ≤ 2θ ≤ 90°:
29.9°, I = 100
34.5°, I = 34
59.0°, I = 30
50.1°, I = 24
35.1°, I = 16
59.8°, I = 14
62.2°, I = 13
49.6°, I = 13
81.3°, I = 12
80.6°, I = 6

Structure:
a b c (Å): 5.1986 5.1986 5.1114
angles (deg): 90.00 90.00 90.00
Positions (direct):
Ac1 0.0000 0.0000 0.0000
Gd1 0.5000 0.5000 0.0000
Ho1 0.0000 0.5000 0.5000
Ho2 0.5000 0.0000 0.5000


# 4
The following is a theoretical powder XRD pattern of RbAl2AsOs. It was derived from a cell relaxed with GGA-PBE, using Cu Kα.
Lines closer than 0.1° are merged.

Largest 10 diffraction maxima, by intensity, 15° ≤ 2θ ≤ 90°:
23.2°, I = 100
16.3°, I = 98
33.0°, I = 77
29.5°, I = 67
50.1°, I = 47
43.8°, I = 38
36.6°, I = 29
47.4°, I = 28
37.0°, I = 26
61.3°, I = 26

Structure:
a b c (Å): 5.4259 5.4259 4.9099
angles (deg): 90.00 90.00 90.00
Positions (direct):
Rb1 0.0000 0.0000 0.0000
Al1 0.0000 0.5000 0.0000
Al2 0.5000 0.0000 0.0000
As1 0.5000 0.5000 0.5000
Os1 0.0000 0.0000 0.5000


# 5
The following is a theoretical powder XRD pattern of TiZnCuIr. It was derived from a cell relaxed with GGA-PBE, using Cu Kα.
Lines closer than 0.1° are merged.

Largest 10 diffraction maxima, by intensity, 15° ≤ 2θ ≤ 90°:
40.8°, I = 100
25.8°, I = 34
46.4°, I = 34
82.2°, I = 25
70.3°, I = 19
49.6°, I = 14
24.2°, I = 13
32.4°, I = 13
87.0°, I = 11
67.7°, I = 11

Structure:
a b c (Å): 4.5982 4.5982 4.5982
angles (deg): 129.64 129.64 73.99
Positions (direct):
Ti1 0.0000 0.0000 0.0000
Zn1 0.5000 0.5000 0.0000
Cu1 0.2500 0.7500 0.5000
Ir1 0.7500 0.2500 0.5000


# 6
The following is a theoretical powder XRD pattern of LaInGe2. It was derived from a cell relaxed with GGA-PBE, using Cu Kα.
Lines closer than 0.1° are merged.

Largest 10 diffraction maxima, by intensity, 15° ≤ 2θ ≤ 90°:
33.9°, I = 100
41.3°, I = 32
70.5°, I = 23
55.3°, I = 18
35.1°, I = 17
26.8°, I = 14
40.9°, I = 11
59.8°, I = 11
71.3°, I = 8
62.2°, I = 8

Structure:
a b c (Å): 4.3737 4.3737 10.2319
angles (deg): 90.00 90.00 90.00
Positions (direct):
La1 0.0000 0.0000 0.0000
La2 0.0000 0.0000 0.5000
In1 0.0000 0.5000 0.2643
In2 0.5000 0.0000 0.7643
Ge1 0.0000 0.5000 0.7503
Ge2 0.5000 0.0000 0.2503
Ge3 0.5000 0.5000 0.0699
Ge4 0.5000 0.5000 0.5699


# 7
The following is a theoretical powder XRD pattern of CrGa2Pb2. It was derived from a cell relaxed with GGA-PBE, using Cu Kα.
Lines closer than 0.1° are merged.

Largest 10 diffraction maxima, by intensity, 15° ≤ 2θ ≤ 90°:
25.4°, I = 100
35.4°, I = 100
37.0°, I = 65
29.8°, I = 48
41.0°, I = 42
63.7°, I = 37
43.4°, I = 34
51.1°, I = 34
60.3°, I = 27
63.5°, I = 26

Structure:
a b c (Å): 9.3310 9.3310 9.3310
angles (deg): 157.92 157.92 31.42
Positions (direct):
Cr1 0.0000 0.0000 0.0000
Ga1 0.2500 0.7500 0.5000
Ga2 0.7500 0.2500 0.5000
Pb1 0.4105 0.4105 0.0000
Pb2 0.5895 0.5895 0.0000


# 8
The following is a theoretical powder XRD pattern of Zr2Mo3. It was derived from a cell relaxed with GGA-PBE, using Cu Kα.
Lines closer than 0.1° are merged.

Largest 10 diffraction maxima, by intensity, 15° ≤ 2θ ≤ 90°:
36.8°, I = 100
37.9°, I = 97
38.9°, I = 80
37.7°, I = 68
34.5°, I = 44
64.0°, I = 28
45.5°, I = 26
19.2°, I = 26
36.5°, I = 25
50.6°, I = 24

Structure:
a b c (Å): 7.3401 5.8197 8.4811
angles (deg): 58.27 42.40 79.33
Positions (direct):
Zr1 0.2280 0.7720 0.3767
Zr2 0.6267 0.8733 0.4780
Zr3 0.7720 0.2280 0.6233
Zr4 0.8733 0.6267 0.0220
Mo1 0.1739 0.8004 0.0586
Mo2 0.1914 0.2829 0.0761
Mo3 0.2829 0.1914 0.4496
Mo4 0.3017 0.3017 0.6983
Mo5 0.5517 0.5517 0.9483
Mo6 0.8004 0.1739 0.9671


# 9
The following is a theoretical powder XRD pattern of HfCo4B4. It was derived from a cell relaxed with GGA-PBE, using Cu Kα.
Lines closer than 0.1° are merged.

Largest 10 diffraction maxima, by intensity, 15° ≤ 2θ ≤ 90°:
43.1°, I = 100
43.6°, I = 59
36.8°, I = 37
25.5°, I = 37
22.2°, I = 32
38.8°, I = 28
70.2°, I = 21
78.2°, I = 20
36.4°, I = 19
45.3°, I = 19

Structure:
a b c (Å): 4.9311 4.9311 6.8583
angles (deg): 90.00 90.00 90.00
Positions (direct):
Hf1 0.2500 0.7500 0.2500
Hf2 0.7500 0.2500 0.7500
Co1 0.9999 0.2500 0.1103
Co2 0.0001 0.7500 0.8897
Co3 0.2500 0.9999 0.6103
Co4 0.2500 0.5001 0.6103
Co5 0.5001 0.2500 0.1103
Co6 0.4999 0.7500 0.8897
Co7 0.7500 0.0001 0.3897
Co8 0.7500 0.4999 0.3897
B1 0.0741 0.2500 0.4067
B2 0.2500 0.0741 0.9067
B3 0.2500 0.4259 0.9067
B4 0.4259 0.2500 0.4067
B5 0.5741 0.7500 0.5933
B6 0.7500 0.5741 0.0933
B7 0.7500 0.9259 0.0933
B8 0.9259 0.7500 0.5933


# 10
The following is a theoretical powder XRD pattern of Pr3Ga8. It was derived from a cell relaxed with GGA-PBE, using Cu Kα.
Lines closer than 0.1° are merged.

Largest 10 diffraction maxima, by intensity, 15° ≤ 2θ ≤ 90°:
32.4°, I = 100
32.1°, I = 53
44.3°, I = 29
41.7°, I = 28
41.8°, I = 28
53.6°, I = 25
62.5°, I = 20
60.5°, I = 18
30.0°, I = 16
37.9°, I = 15

Structure:
a b c (Å): 13.1257 13.1257 13.1257
angles (deg): 161.05 161.00 26.96
Positions (direct):
Pr1 0.0000 0.0000 0.0000
Pr2 0.1454 0.6454 0.5000
Pr3 0.8546 0.3546 0.5000
Ga1 0.2500 0.2500 0.0000
Ga2 0.3084 0.8084 0.5000
Ga3 0.4052 0.9052 0.5000
Ga4 0.4517 0.4517 0.0000
Ga5 0.5483 0.5483 0.0000
Ga6 0.5948 0.0948 0.5000
Ga7 0.6916 0.1916 0.5000
Ga8 0.7500 0.7500 0.0000


# 11
The following is a theoretical powder XRD pattern of Li3Ni2Rh. It was derived from a cell relaxed with GGA-PBE, using Cu Kα.
Lines closer than 0.1° are merged.

Largest 10 diffraction maxima, by intensity, 15° ≤ 2θ ≤ 90°:
21.6°, I = 100
42.6°, I = 38
45.0°, I = 32
45.3°, I = 31
34.8°, I = 21
44.5°, I = 19
80.1°, I = 14
79.4°, I = 14
48.0°, I = 12
48.6°, I = 11

Structure:
a b c (Å): 8.6604 8.6438 4.2445
angles (deg): 76.02 75.58 28.40
Positions (direct):
Li1 0.0436 0.0436 0.7064
Li2 0.1250 0.1250 0.1250
Li3 0.2936 0.2936 0.9564
Li4 0.7064 0.7064 0.0436
Li5 0.8750 0.8750 0.8750
Li6 0.9564 0.9564 0.2936
Ni1 0.2141 0.2141 0.5359
Ni2 0.4641 0.4641 0.7859
Ni3 0.5359 0.5359 0.2141
Ni4 0.7859 0.7859 0.4641
Rh1 0.3750 0.3750 0.3750
Rh2 0.6250 0.6250 0.6250


# 12
The following is a theoretical powder XRD pattern of RbYbBeF6. It was derived from a cell relaxed with GGA-PBE, using Cu Kα.
Lines closer than 0.1° are merged.

Largest 10 diffraction maxima, by intensity, 15° ≤ 2θ ≤ 90°:
28.1°, I = 100
29.1°, I = 79
21.1°, I = 45
27.2°, I = 45
15.3°, I = 38
21.6°, I = 34
20.1°, I = 34
40.9°, I = 34
30.4°, I = 31
41.2°, I = 29

Structure:
a b c (Å): 6.5663 5.8884 7.3006
angles (deg): 90.00 113.89 90.00
Positions (direct):
Rb1 0.0832 0.2500 0.2148
Rb2 0.9168 0.7500 0.7852
Yb1 0.3915 0.2500 0.8172
Yb2 0.6085 0.7500 0.1828
Be1 0.2302 0.7500 0.4631
Be2 0.7698 0.2500 0.5369
F1 0.0019 0.7500 0.2736
F2 0.2433 0.5347 0.5932
F3 0.2433 0.9653 0.5932
F4 0.3245 0.5010 0.0270
F5 0.3245 0.9990 0.0270
F6 0.4210 0.7500 0.3899
F7 0.5790 0.2500 0.6101
F8 0.6755 0.0010 0.9730
F9 0.6755 0.4990 0.9730
F10 0.7567 0.0347 0.4068
F11 0.7567 0.4653 0.4068
F12 0.9981 0.2500 0.7264